1.
Theoretical powder X-ray diffraction pattern of Y4NiB13 for copper Kα, from the PBE geometry in the Materials Project.
Intensities are scaled so that the largest is 100.

Peak list (6 most intense, 2θ = 10–90°, sorted by position)
- (0 0 2), 25.66 deg, intensity 52
- (2 1 0), 27.13 deg, intensity 83
- (2 1 2), 37.69 deg, intensity 100
- (3 1 2), 47.06 deg, intensity 37
- (4 1 0), 51.26 deg, intensity 37
- (4 1 2), 58.19 deg, intensity 32

Structure:
a b c (Å): 7.348 7.348 6.942
angles (deg): 90.00 90.00 90.00
Space group P4/mnc (No. 128)
Asymmetric unit:
Y: 0.180 0.315 0.000 (multiplicity 8)
Ni: 0.000 0.000 0.500 (multiplicity 2)
B: 0.000 0.000 0.000 (multiplicity 2)
B: 0.040 0.830 0.244 (multiplicity 16)
B: 0.093 0.593 0.250 (multiplicity 8)

***

2.
Theoretical powder X-ray diffraction pattern of Zn3Ni20B6 for copper Kα, from the PBE geometry in the Materials Project.
Intensities are scaled so that the largest is 100.

Peak list (6 most intense, 2θ = 10–90°, sorted by position)
- (4 2 0), 38.37 deg, intensity 25
- (4 2 2), 42.20 deg, intensity 31
- (3 3 3), 44.89 deg, intensity 100
- (4 4 0), 49.12 deg, intensity 21
- (5 3 1), 51.53 deg, intensity 25
- (6 6 0), 77.15 deg, intensity 23

Structure:
a b c (Å): 10.491 10.491 10.491
angles (deg): 90.00 90.00 90.00
Space group Fm-3m (No. 225)
Asymmetric unit:
Zn: 0.000 0.000 0.000 (multiplicity 4)
Zn: 0.250 0.250 0.250 (multiplicity 8)
Ni: 0.000 0.169 0.169 (multiplicity 48)
Ni: 0.117 0.117 0.383 (multiplicity 32)
B: 0.000 0.000 0.275 (multiplicity 24)

***

3.
Theoretical powder X-ray diffraction pattern of ZnNi3B2 for copper Kα, from the PBE geometry in the Materials Project.
Intensities are scaled so that the largest is 100.

Peak list (6 most intense, 2θ = 10–90°, sorted by position)
- (1 1 1), 34.88 deg, intensity 56
- (4 0 -2), 40.65 deg, intensity 68
- (3 1 0), 42.78 deg, intensity 42
- (0 0 4), 43.77 deg, intensity 52
- (1 1 -3), 45.11 deg, intensity 100
- (3 1 1), 45.72 deg, intensity 70

Structure:
a b c (Å): 9.475 2.889 8.437
angles (deg): 90.00 101.31 90.00
Space group C2/m (No. 12)
Asymmetric unit:
Zn: 0.138 0.000 0.025 (multiplicity 4)
Ni: 0.004 0.500 0.212 (multiplicity 4)
Ni: 0.139 0.500 0.503 (multiplicity 4)
Ni: 0.219 0.000 0.751 (multiplicity 4)
B: 0.015 0.000 0.611 (multiplicity 4)
B: 0.155 0.000 0.316 (multiplicity 4)

***

4.
Theoretical powder X-ray diffraction pattern of Zr3Ni20B6 for copper Kα, from the PBE geometry in the Materials Project.
Intensities are scaled so that the largest is 100.

Peak list (6 most intense, 2θ = 10–90°, sorted by position)
- (4 2 0), 37.63 deg, intensity 29
- (4 2 2), 41.38 deg, intensity 38
- (3 3 3), 44.02 deg, intensity 100
- (4 4 0), 48.16 deg, intensity 25
- (5 3 1), 50.52 deg, intensity 20
- (6 6 0), 75.47 deg, intensity 27

Structure:
a b c (Å): 10.689 10.689 10.689
angles (deg): 90.00 90.00 90.00
Space group Fm-3m (No. 225)
Asymmetric unit:
Zr: 0.000 0.000 0.000 (multiplicity 4)
Zr: 0.250 0.250 0.250 (multiplicity 8)
Ni: 0.000 0.172 0.172 (multiplicity 48)
Ni: 0.114 0.114 0.386 (multiplicity 32)
B: 0.000 0.000 0.268 (multiplicity 24)

***

5.
Theoretical powder X-ray diffraction pattern of Zr2Ni21B6 for copper Kα, from the PBE geometry in the Materials Project.
Intensities are scaled so that the largest is 100.

Peak list (6 most intense, 2θ = 10–90°, sorted by position)
- (4 2 0), 37.98 deg, intensity 37
- (4 2 2), 41.76 deg, intensity 37
- (3 3 3), 44.43 deg, intensity 100
- (4 4 0), 48.61 deg, intensity 23
- (5 3 1), 50.99 deg, intensity 26
- (6 6 0), 76.25 deg, intensity 27

Structure:
a b c (Å): 10.595 10.595 10.595
angles (deg): 90.00 90.00 90.00
Space group Fm-3m (No. 225)
Asymmetric unit:
Zr: 0.250 0.250 0.250 (multiplicity 8)
Ni: 0.000 0.000 0.000 (multiplicity 4)
Ni: 0.000 0.170 0.170 (multiplicity 48)
Ni: 0.114 0.114 0.386 (multiplicity 32)
B: 0.000 0.000 0.270 (multiplicity 24)

***

6.
Theoretical powder X-ray diffraction pattern of NpB4 for copper Kα, from the PBE geometry in the Materials Project.
Intensities are scaled so that the largest is 100.

Peak list (6 most intense, 2θ = 10–90°, sorted by position)
- (0 0 1), 22.28 deg, intensity 73
- (2 0 0), 25.21 deg, intensity 57
- (2 1 0), 28.25 deg, intensity 81
- (2 0 1), 33.89 deg, intensity 69
- (2 1 1), 36.27 deg, intensity 100
- (4 1 1), 58.63 deg, intensity 45

Structure:
a b c (Å): 7.065 7.065 3.990
angles (deg): 90.00 90.00 90.00
Space group P4/mbm (No. 127)
Asymmetric unit:
Np: 0.188 0.312 0.000 (multiplicity 4)
B: 0.000 0.000 0.201 (multiplicity 4)
B: 0.039 0.822 0.500 (multiplicity 8)
B: 0.087 0.587 0.500 (multiplicity 4)

***

7.
Theoretical powder X-ray diffraction pattern of NpB6 for copper Kα, from the PBE geometry in the Materials Project.
Intensities are scaled so that the largest is 100.

Peak list (6 most intense, 2θ = 10–90°, sorted by position)
- (1 0 0), 21.72 deg, intensity 82
- (1 1 0), 30.91 deg, intensity 100
- (1 1 1), 38.10 deg, intensity 41
- (2 1 0), 49.84 deg, intensity 53
- (2 1 1), 54.98 deg, intensity 33
- (2 2 1), 68.85 deg, intensity 28

Structure:
a b c (Å): 4.091 4.091 4.091
angles (deg): 90.00 90.00 90.00
Space group Pm-3m (No. 221)
Asymmetric unit:
Np: 0.000 0.000 0.000 (multiplicity 1)
B: 0.198 0.500 0.500 (multiplicity 6)

***

8.
Theoretical powder X-ray diffraction pattern of NpB12 for copper Kα, from the PBE geometry in the Materials Project.
Intensities are scaled so that the largest is 100.

Peak list (6 most intense, 2θ = 10–90°, sorted by position)
- (1 1 1), 20.72 deg, intensity 100
- (2 0 0), 23.96 deg, intensity 68
- (2 2 0), 34.15 deg, intensity 45
- (3 1 1), 40.27 deg, intensity 88
- (3 3 1), 53.80 deg, intensity 32
- (5 3 1), 75.77 deg, intensity 28

Structure:
a b c (Å): 7.427 7.427 7.427
angles (deg): 90.00 90.00 90.00
Space group Fm-3m (No. 225)
Asymmetric unit:
Np: 0.000 0.000 0.000 (multiplicity 4)
B: 0.000 0.170 0.330 (multiplicity 48)

***

9.
Theoretical powder X-ray diffraction pattern of NpB2 for copper Kα, from the PBE geometry in the Materials Project.
Intensities are scaled so that the largest is 100.

Peak list (6 most intense, 2θ = 10–90°, sorted by position)
- (0 0 1), 22.28 deg, intensity 62
- (1 0 0), 34.02 deg, intensity 72
- (1 0 1), 41.04 deg, intensity 100
- (1 0 2), 57.98 deg, intensity 33
- (1 1 1), 65.68 deg, intensity 22
- (2 0 1), 76.07 deg, intensity 17

Structure:
a b c (Å): 3.0429 3.0429 3.9907
angles (deg): 90.00 90.00 120.00
Space group P6/mmm (No. 191)
Asymmetric unit:
Np: 0.0000 0.0000 0.0000 (multiplicity 1)
B: 0.3333 0.6667 0.5000 (multiplicity 2)

***

10.
Theoretical powder X-ray diffraction pattern of NpB8O17 for copper Kα, from the PBE geometry in the Materials Project.
Intensities are scaled so that the largest is 100.

Peak list (6 most intense, 2θ = 10–90°, sorted by position)
- (0 2 0), 10.34 deg, intensity 100
- (1 1 -1), 16.64 deg, intensity 73
- (0 2 2), 19.07 deg, intensity 34
- (0 4 0), 20.76 deg, intensity 21
- (1 3 -1), 22.24 deg, intensity 71
- (1 1 -3), 28.17 deg, intensity 21

Structure:
a b c (Å): 6.499 17.113 11.094
angles (deg): 90.00 90.37 90.00
Space group Cc (No. 9)
Asymmetric unit:
Np: 0.000 0.232 0.000 (multiplicity 4)
B: 0.004 0.307 0.663 (multiplicity 4)
B: 0.050 0.300 0.435 (multiplicity 4)
B: 0.179 0.203 0.263 (multiplicity 4)
B: 0.180 0.061 0.673 (multiplicity 4)
B: 0.305 0.269 0.798 (multiplicity 4)
B: 0.337 0.058 0.251 (multiplicity 4)
B: 0.392 0.443 0.035 (multiplicity 4)
B: 0.421 0.072 0.834 (multiplicity 4)
O: 0.015 0.131 0.972 (multiplicity 4)
O: 0.032 0.382 0.411 (multiplicity 4)
O: 0.036 0.097 0.600 (multiplicity 4)
O: 0.100 0.272 0.774 (multiplicity 4)
O: 0.128 0.288 0.559 (multiplicity 4)
O: 0.206 0.018 0.166 (multiplicity 4)
O: 0.217 0.260 0.365 (multiplicity 4)
O: 0.235 0.126 0.309 (multiplicity 4)
O: 0.242 0.493 0.076 (multiplicity 4)
O: 0.290 0.223 0.153 (multiplicity 4)
O: 0.291 0.109 0.750 (multiplicity 4)
O: 0.349 0.242 0.914 (multiplicity 4)
O: 0.352 0.438 0.915 (multiplicity 4)
O: 0.433 0.007 0.338 (multiplicity 4)
O: 0.460 0.290 0.720 (multiplicity 4)
O: 0.495 0.108 0.187 (multiplicity 4)
O: 0.497 0.167 0.527 (multiplicity 4)